Simulated powder XRD pattern of LiTl6 for a wavelength of 1.5418 Å, from a crystal structure in Alexandria, relaxed with GGA-PBE.

The 8 most intense peaks (10° ≤ 2θ ≤ 90°), most intense first:
d (Å)	Rel. int.
2.771	100
2.695	91
1.585	38
1.932	35
1.600	20
1.232	17
1.542	16
1.212	15

Cell and atoms:
Unit cell a=8.2453 b=8.2453 c=8.2453 alpha=39.27 beta=39.27 gamma=39.27
Atoms (fractional coordinates):
Li: 0.0000 0.0000 0.0000
Tl: 0.1378 0.1378 0.1378
Tl: 0.2840 0.2840 0.2840
Tl: 0.4280 0.4280 0.4280
Tl: 0.5720 0.5720 0.5720
Tl: 0.7160 0.7160 0.7160
Tl: 0.8622 0.8622 0.8622

Simulated powder XRD pattern of PuBH3 for a wavelength of 1.5418 Å, from a crystal structure in Alexandria, relaxed with GGA-PBE.

The 8 most intense peaks (10° ≤ 2θ ≤ 90°), most intense first:
d (Å)	Rel. int.
3.300	100
3.203	94
2.820	79
2.805	39
1.994	30
1.989	29
1.261	20
1.721	17

Cell and atoms:
Unit cell a=5.6154 b=5.6417 c=7.7829 alpha=90.00 beta=133.57 gamma=90.00
Atoms (fractional coordinates):
Pu: 0.2413 0.2434 0.4988
Pu: 0.2413 0.2566 0.9988
Pu: 0.7587 0.7435 0.0012
Pu: 0.7587 0.7565 0.5012
B: 0.2229 0.7427 0.9798
B: 0.2229 0.7573 0.4798
B: 0.7771 0.2427 0.5202
B: 0.7771 0.2573 0.0202
H: 0.2462 0.6239 0.6248
H: 0.2462 0.8761 0.1248
H: 0.2541 0.6161 0.3664
H: 0.2541 0.8839 0.8664
H: 0.4954 0.6274 0.1188
H: 0.4954 0.8726 0.6188
H: 0.5046 0.1274 0.3812
H: 0.5046 0.3726 0.8812
H: 0.7459 0.1161 0.1336
H: 0.7459 0.3839 0.6336
H: 0.7538 0.1239 0.8752
H: 0.7538 0.3761 0.3752

Simulated powder XRD pattern of CoMo4N5 for a wavelength of 1.5418 Å, from a crystal structure in Alexandria, relaxed with GGA-PBE.

The 8 most intense peaks (10° ≤ 2θ ≤ 90°), most intense first:
d (Å)	Rel. int.
1.862	100
2.479	90
2.819	55
1.869	46
2.496	45
1.225	19
1.438	19
1.135	18

Cell and atoms:
Unit cell a=2.8188 b=12.5638 c=12.5638 alpha=13.05 beta=90.00 gamma=90.00
Atoms (fractional coordinates):
Co: 0.0000 0.0000 0.0000
Mo: 0.0000 0.1857 0.1857
Mo: 0.0000 0.3861 0.3861
Mo: 0.0000 0.5842 0.5842
Mo: 0.0000 0.7876 0.7876
N: 0.5000 0.1191 0.1191
N: 0.5000 0.3196 0.3196
N: 0.5000 0.5197 0.5197
N: 0.5000 0.7205 0.7205
N: 0.5000 0.9181 0.9181

Simulated powder XRD pattern of Ce3PmY4S8 for a wavelength of 1.5418 Å, from a crystal structure in Alexandria, relaxed with GGA-PBE.

The 8 most intense peaks (10° ≤ 2θ ≤ 90°), most intense first:
d (Å)	Rel. int.
2.809	100
3.235	44
1.993	36
1.979	35
1.618	18
1.260	15
1.252	15
3.267	15

Cell and atoms:
Unit cell a=7.9741 b=7.9741 c=7.9741 alpha=59.51 beta=59.51 gamma=59.51
Atoms (fractional coordinates):
Ce: 0.0000 0.5000 0.5000
Ce: 0.5000 0.0000 0.5000
Ce: 0.5000 0.5000 0.0000
Pm: 0.0000 0.0000 0.0000
Y: 0.0000 0.0000 0.5000
Y: 0.0000 0.5000 0.0000
Y: 0.5000 0.0000 0.0000
Y: 0.5000 0.5000 0.5000
S: 0.2465 0.2465 0.2465
S: 0.2469 0.7464 0.7464
S: 0.2536 0.2536 0.7531
S: 0.2536 0.7531 0.2536
S: 0.7464 0.2469 0.7464
S: 0.7464 0.7464 0.2469
S: 0.7531 0.2536 0.2536
S: 0.7535 0.7535 0.7535

Simulated powder XRD pattern of PmPr4Y2Ho2 for a wavelength of 1.5418 Å, from a crystal structure in Alexandria, relaxed with GGA-PBE.

The 8 most intense peaks (10° ≤ 2θ ≤ 90°), most intense first:
d (Å)	Rel. int.
2.967	100
2.569	50
1.816	30
1.548	28
1.551	14
1.178	9
1.148	7
1.485	6

Cell and atoms:
Unit cell a=8.1312 b=8.1312 c=8.1147 alpha=107.29 beta=107.29 gamma=36.81
Atoms (fractional coordinates):
Pm: 0.0000 0.0000 0.0000
Pr: 0.2227 0.2227 0.3307
Pr: 0.4457 0.4457 0.6697
Pr: 0.5543 0.5543 0.3303
Pr: 0.7773 0.7773 0.6693
Y: 0.1117 0.1117 0.6694
Y: 0.8883 0.8883 0.3306
Ho: 0.3319 0.3319 0.0004
Ho: 0.6681 0.6681 0.9996

Simulated powder XRD pattern of LuTa3O9 for a wavelength of 1.5418 Å, from a crystal structure in Alexandria, relaxed with GGA-PBE.

The 8 most intense peaks (10° ≤ 2θ ≤ 90°), most intense first:
d (Å)	Rel. int.
2.852	100
3.160	86
2.573	68
3.796	64
3.135	54
3.247	44
1.898	40
1.580	38

Cell and atoms:
Unit cell a=6.4046 b=7.5912 c=12.5387 alpha=90.00 beta=90.00 gamma=90.00
Atoms (fractional coordinates):
Lu: 0.0595 0.2500 0.0369
Lu: 0.4405 0.7500 0.5369
Lu: 0.5595 0.2500 0.4631
Lu: 0.9405 0.7500 0.9631
Ta: 0.0000 0.0000 0.5000
Ta: 0.0000 0.5000 0.5000
Ta: 0.1941 0.0027 0.7888
Ta: 0.1941 0.4973 0.7888
Ta: 0.3059 0.5027 0.2888
Ta: 0.3059 0.9973 0.2888
Ta: 0.5000 0.0000 0.0000
Ta: 0.5000 0.5000 0.0000
Ta: 0.6941 0.0027 0.7112
Ta: 0.6941 0.4973 0.7112
Ta: 0.8059 0.5027 0.2112
Ta: 0.8059 0.9973 0.2112
O: 0.0074 0.0496 0.6577
O: 0.0074 0.4504 0.6577
O: 0.0798 0.7500 0.5290
O: 0.1143 0.0443 0.1686
O: 0.1143 0.4557 0.1686
O: 0.1462 0.2500 0.8371
O: 0.1975 0.7500 0.8108
O: 0.2006 0.5351 0.9664
O: 0.2006 0.9649 0.9664
O: 0.2994 0.0351 0.4664
O: 0.2994 0.4649 0.4664
O: 0.3025 0.2500 0.3108
O: 0.3538 0.7500 0.3371
O: 0.3857 0.5443 0.6686
O: 0.3857 0.9557 0.6686
O: 0.4202 0.2500 0.0290
O: 0.4926 0.5496 0.1577
O: 0.4926 0.9504 0.1577
O: 0.5074 0.0496 0.8423
O: 0.5074 0.4504 0.8423
O: 0.5798 0.7500 0.9710
O: 0.6143 0.0443 0.3314
O: 0.6143 0.4557 0.3314
O: 0.6462 0.2500 0.6629
O: 0.6975 0.7500 0.6892
O: 0.7006 0.5351 0.5336
O: 0.7006 0.9649 0.5336
O: 0.7994 0.0351 0.0336
O: 0.7994 0.4649 0.0336
O: 0.8025 0.2500 0.1892
O: 0.8538 0.7500 0.1629
O: 0.8857 0.5443 0.8314
O: 0.8857 0.9557 0.8314
O: 0.9202 0.2500 0.4710
O: 0.9926 0.5496 0.3423
O: 0.9926 0.9504 0.3423

Simulated powder XRD pattern of Ca2CdAg5 for a wavelength of 1.5418 Å, from a crystal structure in Alexandria, relaxed with GGA-PBE.

The 8 most intense peaks (10° ≤ 2θ ≤ 90°), most intense first:
d (Å)	Rel. int.
2.740	100
5.119	71
2.901	57
2.294	56
2.559	54
1.708	47
2.162	34
1.919	33

Cell and atoms:
Unit cell a=6.4871 b=6.4871 c=5.1187 alpha=90.00 beta=90.00 gamma=90.00
Atoms (fractional coordinates):
Ca: 0.0000 0.5000 0.0000
Ca: 0.5000 0.0000 0.0000
Cd: 0.0000 0.0000 0.5000
Ag: 0.0000 0.0000 0.0000
Ag: 0.2920 0.2920 0.5000
Ag: 0.2920 0.7080 0.5000
Ag: 0.7080 0.2920 0.5000
Ag: 0.7080 0.7080 0.5000

Simulated powder XRD pattern of Th3In2Ag4 for a wavelength of 1.5418 Å, from a crystal structure in Alexandria, relaxed with GGA-PBE.

The 8 most intense peaks (10° ≤ 2θ ≤ 90°), most intense first:
d (Å)	Rel. int.
2.678	100
2.670	100
2.493	99
2.482	50
4.312	33
1.822	33
1.405	29
1.467	21

Cell and atoms:
Unit cell a=6.0514 b=6.0514 c=9.2830 alpha=117.42 beta=117.42 gamma=48.43
Atoms (fractional coordinates):
Th: 0.0000 0.0000 0.0000
Th: 0.3381 0.3381 0.3269
Th: 0.6619 0.6619 0.6731
In: 0.3835 0.3835 0.7184
In: 0.6165 0.6165 0.2816
Ag: 0.0734 0.0734 0.4088
Ag: 0.2893 0.2893 0.9579
Ag: 0.7107 0.7107 0.0421
Ag: 0.9266 0.9266 0.5911